Structure and theoretical powder XRD pattern of Ca2PmErSe4 (a crystal structure in Alexandria, relaxed with PBE; Cu Kα, 1.54184 Å).
No peak broadening, texture or thermal motion is included.

Structural model:
Unit cell a=7.1567 b=4.1264 c=7.2723 alpha=90.00 beta=109.10 gamma=90.00
Fractional coordinates of all 8 atoms:
Ca  0.0000  0.0000  0.0000
Ca  0.5000  0.5000  0.0000
Pm  0.0000  0.5000  0.5000
Er  0.5000  0.0000  0.5000
Se  0.2577  0.0000  0.7509
Se  0.2582  0.5000  0.2544
Se  0.7423  0.0000  0.2491
Se  0.7418  0.5000  0.7456

Top 12 peaks for 10° ≤ 2θ ≤ 90°, by angle:
h k l	2θ (°)	I_rel
0 0 1	12.9	25
1 1 0	25.3	10
1 1 1	30.4	100
2 0 1	33.2	8
1 1 -3	43.3	37
0 2 0	43.9	36
0 0 4	53.3	7
2 2 -2	54.3	19
2 2 2	63.3	12
0 2 4	71.4	16
1 3 1	72.3	16
4 2 -4	80.2	8